Record 1
Calculated powder diffraction line list of BaNa5Pb2 for Cu Kα (weighted mean of Kα1 and Kα2), from a PBE-relaxed structure.

Cell and atoms:
abc: 7.9979 7.9979 7.9979
angles: 141.67 103.47 89.00
Atoms (fractional coordinates):
Ba 0.0000 0.0000 0.0000
Na 0.1468 0.3230 0.8238
Na 0.4993 0.3230 0.1762
Na 0.5000 0.0000 0.5000
Na 0.5007 0.6770 0.8238
Na 0.8532 0.6770 0.1762
Pb 0.2227 0.7227 0.5000
Pb 0.7773 0.2773 0.5000

Principal peaks in the range 10 to 90 degrees two-theta, in order of rising 2θ:
2θ (°), I/Imax
11.83, 30.4
15.53, 27.5
17.91, 62.7
19.13, 27.1
24.74, 100.0
28.99, 32.5
34.15, 22.6
35.77, 55.2
36.31, 37.7
50.71, 26.0

***

Record 2
Calculated powder diffraction line list of BaPtBr4 for Cu Kα (weighted mean of Kα1 and Kα2), from a PBE-relaxed structure.

Cell and atoms:
abc: 6.7218 6.7218 6.7218
angles: 112.29 112.29 103.97
Atoms (fractional coordinates):
Ba 0.0000 0.0000 0.0000
Pt 0.2500 0.7500 0.5000
Br 0.0155 0.9807 0.4981
Br 0.0193 0.5175 0.0349
Br 0.4825 0.5174 0.5019
Br 0.4826 0.9845 0.9651

Principal peaks in the range 10 to 90 degrees two-theta, in order of rising 2θ:
2θ (°), I/Imax
15.96, 100.0
21.47, 28.2
27.35, 43.2
28.75, 29.7
32.23, 18.2
33.85, 47.0
40.44, 19.7
44.05, 21.7
44.99, 21.9
56.43, 21.4

***

Record 3
Calculated powder diffraction line list of RbNa2GeF8 for Cu Kα (weighted mean of Kα1 and Kα2), from a PBE-relaxed structure.

Cell and atoms:
abc: 4.9237 5.0686 7.6438
angles: 91.66 94.38 90.23
Atoms (fractional coordinates):
Rb 0.0000 0.0000 0.0000
Na 0.4927 0.4959 0.7133
Na 0.5073 0.5041 0.2867
Ge 0.0000 0.0000 0.5000
F 0.1745 0.8125 0.3341
F 0.2236 0.8638 0.6779
F 0.2415 0.2753 0.4843
F 0.3007 0.4711 0.9941
F 0.6993 0.5289 0.0059
F 0.7585 0.7247 0.5157
F 0.7764 0.1362 0.3221
F 0.8255 0.1875 0.6659

Principal peaks in the range 10 to 90 degrees two-theta, in order of rising 2θ:
2θ (°), I/Imax
17.50, 44.2
18.07, 57.6
23.35, 45.5
25.18, 76.2
25.34, 100.0
28.54, 34.4
30.79, 35.0
33.99, 30.6
35.22, 26.8
35.41, 30.0

***

Record 4
Calculated powder diffraction line list of Cs2Ce3I8 for Cu Kα (weighted mean of Kα1 and Kα2), from a PBE-relaxed structure.

Cell and atoms:
abc: 10.7599 10.7599 7.6492
angles: 101.45 101.45 49.21
Atoms (fractional coordinates):
Cs 0.2442 0.2442 0.1792
Cs 0.7558 0.7558 0.8208
Ce 0.2807 0.7193 0.5000
Ce 0.5000 0.5000 0.0000
Ce 0.7193 0.2807 0.5000
I 0.0932 0.0932 0.4084
I 0.1495 0.6456 0.1083
I 0.3544 0.8505 0.8917
I 0.3855 0.3855 0.6179
I 0.6145 0.6145 0.3821
I 0.6456 0.1495 0.1083
I 0.8505 0.3544 0.8917
I 0.9068 0.9068 0.5916

Principal peaks in the range 10 to 90 degrees two-theta, in order of rising 2θ:
2θ (°), I/Imax
19.01, 19.8
23.98, 33.8
27.49, 63.0
28.13, 100.0
31.49, 28.1
32.76, 18.7
38.72, 29.9
40.23, 33.7
40.75, 45.0
49.44, 22.1